[1]
For Cs2Tl4In3, a PBE-relaxed structure gives the calculated powder diffractogram in this record (λ = 1.5418 Å (Cu Kα)).
Lines closer than 0.1° are merged.

Structure:
a b c (Å): 6.8201 11.9283 16.3302
angles (deg): 90.00 90.00 90.00
Space group Fmmm (No. 69)
One atom of each set of equivalent atoms:
Cs1 0.0000 0.0000 0.1383 (multiplicity 8)
Tl1 0.0000 0.1761 0.3436 (multiplicity 16)
In1 0.0000 0.0000 0.5000 (multiplicity 4)
In2 0.2500 0.2500 0.0000 (multiplicity 8)

Top 6 peaks for 10 to 90 degrees two-theta, low angle first:
Position (°2θ)  I_rel
26.13  27
26.52  28
30.78  100
32.91  25
34.26  26
49.11  30

=====

[2]
For CsMnSbCl6, a PBE-relaxed structure gives the calculated powder diffractogram in this record (λ = 1.5418 Å (Cu Kα)).
Lines closer than 0.1° are merged.

Structure:
a b c (Å): 6.8775 6.8775 7.7615
angles (deg): 90.00 90.00 120.00
Space group P312 (No. 149)
One atom of each set of equivalent atoms:
Cs1 0.0000 0.0000 0.0000 (multiplicity 1)
Mn1 0.3333 0.6667 0.5000 (multiplicity 1)
Sb1 0.6667 0.3333 0.5000 (multiplicity 1)
Cl1 0.0142 0.3858 0.6920 (multiplicity 6)

Top 6 peaks for 10 to 90 degrees two-theta, low angle first:
Position (°2θ)  I_rel
18.78  100
28.39  17
32.19  19
34.86  59
41.78  25
45.70  18